Theoretical powder XRD pattern
Compound: Tm4Ga21Ni10
Radiation: Cu Kα (weighted mean of Kα1 and Kα2)
Structure: a DFT-relaxed cell (GGA-PBE, OQMD)

Most intense lines, 10° ≤ 2θ ≤ 90°, in order of rising 2θ:
2θ (°)  d (Å)  I (rel.)  (hkl)
33.9  2.646  15.3  1 1 -4
37.0  2.429  32.4  5 1 -5
38.2  2.355  100.0  5 1 1
38.8  2.320  42.5  1 1 4
44.7  2.028  50.8  0 2 0
46.0  1.972  15.6  1 1 -6

Structure:
```
data_Tm4Ga21Ni10
_symmetry_space_group_name_H-M 'C 1 2/m 1'
_symmetry_Int_Tables_number 12
_symmetry_space_group_name_Hall '-C 2y'
_cell_length_a 20.799
_cell_length_b 4.056
_cell_length_c 15.479
_cell_angle_alpha 90.00
_cell_angle_beta 125.21
_cell_angle_gamma 90.00
loop_
_atom_site_label
_atom_site_type_symbol
_atom_site_fract_x
_atom_site_fract_y
_atom_site_fract_z
_atom_site_occupancy
Tm1 Tm 0.120 0.000 0.333 1
Tm2 Tm 0.230 0.000 0.824 1
Ga1 Ga 0.000 0.500 0.500 1
Ga2 Ga 0.007 0.000 0.091 1
Ga3 Ga 0.040 0.500 0.369 1
Ga4 Ga 0.065 0.000 0.795 1
Ga5 Ga 0.101 0.500 0.997 1
Ga6 Ga 0.116 0.500 0.704 1
Ga7 Ga 0.118 0.000 0.555 1
Ga8 Ga 0.127 0.500 0.195 1
Ga9 Ga 0.201 0.000 0.003 1
Ga10 Ga 0.202 0.500 0.502 1
Ga11 Ga 0.248 0.000 0.294 1
Ni1 Ni 0.003 0.500 0.187 1
Ni2 Ni 0.025 0.000 0.607 1
Ni3 Ni 0.133 0.000 0.103 1
Ni4 Ni 0.153 0.500 0.887 1
Ni5 Ni 0.249 0.500 0.385 1
```